Structure and theoretical X-ray powder pattern of LaSnPdPt (a crystal structure in Alexandria, relaxed with GGA-PBE; Cu Kα, 1.54184 Å).
Intensities are scaled so that the largest is 100.

Most intense lines, 5 to 70 degrees two-theta, by intensity:
38.61°, I 100.0
33.33°, I 94.0
38.37°, I 27.5
51.91°, I 27.1
66.53°, I 25.9
18.47°, I 23.9
69.87°, I 18.4
43.12°, I 17.1

Crystal structure
```
data_LaSnPdPt
_cell_length_a 8.076
_cell_length_b 4.665
_cell_length_c 5.510
_cell_angle_alpha 90.00
_cell_angle_beta 119.32
_cell_angle_gamma 90.00
_symmetry_space_group_name_H-M 'C 1 m 1'
_symmetry_Int_Tables_number 8
loop_
_symmetry_equiv_pos_as_xyz
'x,y,z'
'x,-y,z'
'x+1/2,y+1/2,z'
'x+1/2,-y+1/2,z'
loop_
_atom_site_label
_atom_site_fract_x
_atom_site_fract_y
_atom_site_fract_z
La1 0.000 0.000 0.000
Sn1 0.002 0.500 0.505
Pd1 0.287 0.500 0.362
Pt1 0.214 0.000 0.641
```